The following is a calculated XRD peak list of Er4Co2Ge. It was derived from the GGA-PBE geometry in Alexandria, using Cu Kα (λ = 1.5418 Å).

Largest 10 diffraction maxima, most intense first, 15 to 90 degrees two-theta:
| Position (°2θ) | intensity |
| --- | --- |
| 32.9 | 100.0 |
| 28.7 | 89.4 |
| 29.1 | 79.4 |
| 38.4 | 78.3 |
| 32.3 | 75.0 |
| 49.1 | 47.1 |
| 54.0 | 39.2 |
| 41.1 | 35.3 |
| 48.8 | 27.7 |
| 61.9 | 26.5 |

abc: 7.555 7.555 7.555
angles: 108.88 108.81 110.73
Fractional positions:
Er (0.204, 0.269, 0.564)
Er (0.204, 0.640, 0.936)
Er (0.269, 0.204, 0.064)
Er (0.360, 0.796, 0.564)
Er (0.640, 0.204, 0.436)
Er (0.731, 0.796, 0.936)
Er (0.796, 0.360, 0.064)
Er (0.796, 0.731, 0.436)
Co (0.000, 0.500, 0.500)
Co (0.500, 0.000, 0.000)
Co (0.500, 0.500, 0.000)
Co (0.500, 0.500, 0.500)
Ge (0.124, 0.874, 0.250)
Ge (0.876, 0.126, 0.750)

=====

The following is a calculated XRD peak list of Pr4Dy2Y2Er. It was derived from the GGA-PBE geometry in Alexandria, using Cu Kα (λ = 1.5418 Å).

Largest 10 diffraction maxima, most intense first, 15 to 90 degrees two-theta:
| Position (°2θ) | intensity |
| --- | --- |
| 30.2 | 100.0 |
| 50.4 | 35.9 |
| 35.0 | 33.7 |
| 59.9 | 28.4 |
| 35.1 | 16.8 |
| 59.8 | 14.3 |
| 62.8 | 12.3 |
| 81.9 | 11.6 |
| 84.6 | 8.1 |
| 82.0 | 5.8 |

abc: 8.114 8.114 8.092
angles: 107.51 107.51 36.80
Fractional positions:
Pr (0.054, 0.054, 0.332)
Pr (0.277, 0.277, 0.667)
Pr (0.723, 0.723, 0.333)
Pr (0.946, 0.946, 0.668)
Dy (0.389, 0.389, 0.331)
Dy (0.611, 0.611, 0.669)
Y (0.167, 0.167, 0.000)
Y (0.833, 0.833, 0.000)
Er (0.500, 0.500, 0.000)

=====

The following is a calculated XRD peak list of Ac5SnPb3. It was derived from the GGA-PBE geometry in Alexandria, using Cu Kα (λ = 1.5418 Å).

Largest 10 diffraction maxima, most intense first, 15 to 90 degrees two-theta:
| Position (°2θ) | intensity |
| --- | --- |
| 30.0 | 100.0 |
| 29.1 | 39.0 |
| 42.9 | 15.9 |
| 59.4 | 12.9 |
| 46.0 | 11.5 |
| 53.2 | 10.8 |
| 58.8 | 10.6 |
| 38.3 | 9.4 |
| 45.9 | 7.7 |
| 26.3 | 7.1 |

abc: 10.344 10.344 7.288
angles: 90.00 90.00 120.00
Fractional positions:
Ac (0.000, 0.266, 0.250)
Ac (0.000, 0.734, 0.750)
Ac (0.266, 0.000, 0.250)
Ac (0.266, 0.266, 0.750)
Ac (0.333, 0.667, 0.000)
Ac (0.333, 0.667, 0.500)
Ac (0.667, 0.333, 0.000)
Ac (0.667, 0.333, 0.500)
Ac (0.734, 0.000, 0.750)
Ac (0.734, 0.734, 0.250)
Sn (0.000, 0.000, 0.000)
Sn (0.000, 0.000, 0.500)
Pb (0.000, 0.385, 0.750)
Pb (0.000, 0.615, 0.250)
Pb (0.385, 0.000, 0.750)
Pb (0.385, 0.385, 0.250)
Pb (0.615, 0.000, 0.250)
Pb (0.615, 0.615, 0.750)

=====

The following is a calculated XRD peak list of KPm3Br8. It was derived from the GGA-PBE geometry in Alexandria, using Cu Kα (λ = 1.5418 Å).

Largest 10 diffraction maxima, most intense first, 15 to 90 degrees two-theta:
| Position (°2θ) | intensity |
| --- | --- |
| 29.2 | 100.0 |
| 38.8 | 39.4 |
| 44.7 | 32.2 |
| 36.1 | 23.9 |
| 54.3 | 17.0 |
| 48.0 | 15.2 |
| 78.4 | 14.9 |
| 72.9 | 14.1 |
| 25.6 | 13.8 |
| 46.1 | 13.6 |

abc: 9.482 9.482 9.482
angles: 50.63 50.63 50.63
Fractional positions:
K (0.000, 0.000, 0.000)
Pm (0.000, 0.000, 0.500)
Pm (0.000, 0.500, 0.000)
Pm (0.500, 0.000, 0.000)
Br (0.241, 0.735, 0.735)
Br (0.242, 0.242, 0.242)
Br (0.265, 0.265, 0.759)
Br (0.265, 0.759, 0.265)
Br (0.735, 0.241, 0.735)
Br (0.735, 0.735, 0.241)
Br (0.758, 0.758, 0.758)
Br (0.759, 0.265, 0.265)

=====

The following is a calculated XRD peak list of PmNd6Sm. It was derived from the GGA-PBE geometry in Alexandria, using Cu Kα (λ = 1.5418 Å).

Largest 10 diffraction maxima, most intense first, 15 to 90 degrees two-theta:
| Position (°2θ) | intensity |
| --- | --- |
| 29.8 | 100.0 |
| 34.4 | 34.0 |
| 58.8 | 29.1 |
| 49.7 | 24.2 |
| 34.7 | 16.7 |
| 59.1 | 14.3 |
| 61.8 | 12.5 |
| 49.5 | 12.2 |
| 80.7 | 11.7 |
| 83.0 | 8.2 |

abc: 8.997 8.230 6.353
angles: 74.95 62.06 42.99
Fractional positions:
Pm (0.000, 0.000, 0.000)
Nd (0.124, 0.124, 0.376)
Nd (0.250, 0.250, 0.750)
Nd (0.376, 0.376, 0.124)
Nd (0.624, 0.624, 0.876)
Nd (0.750, 0.750, 0.250)
Nd (0.876, 0.876, 0.624)
Sm (0.500, 0.500, 0.500)

=====

The following is a calculated XRD peak list of RuO2F3. It was derived from the GGA-PBE geometry in Alexandria, using Cu Kα (λ = 1.5418 Å).

Largest 10 diffraction maxima, most intense first, 15 to 90 degrees two-theta:
| Position (°2θ) | intensity |
| --- | --- |
| 18.4 | 100.0 |
| 22.2 | 56.7 |
| 22.0 | 51.2 |
| 24.1 | 23.2 |
| 27.3 | 21.7 |
| 16.4 | 20.8 |
| 33.1 | 19.7 |
| 38.7 | 18.7 |
| 37.1 | 16.8 |
| 48.0 | 14.2 |

abc: 5.574 5.574 7.700
angles: 102.54 102.54 81.71
Fractional positions:
Ru (0.186, 0.814, 0.750)
Ru (0.814, 0.186, 0.250)
O (0.112, 0.249, 0.314)
O (0.249, 0.112, 0.814)
O (0.751, 0.888, 0.186)
O (0.888, 0.751, 0.686)
F (0.201, 0.781, 0.993)
F (0.219, 0.799, 0.507)
F (0.443, 0.557, 0.750)
F (0.557, 0.443, 0.250)
F (0.781, 0.201, 0.493)
F (0.799, 0.219, 0.007)

=====

> Which formula does entry 1 have?

Er4Co2Ge